1.
Simulated PXRD pattern of Pm8Ho4Mg for CuKα, from the PBE geometry in Alexandria.

Most intense lines, 2θ = 15–90°, in order of rising 2θ:
19.7 deg, intensity 261
22.8 deg, intensity 90
32.5 deg, intensity 1000
38.3 deg, intensity 147
46.6 deg, intensity 183
51.0 deg, intensity 65
57.9 deg, intensity 382
61.8 deg, intensity 49
68.0 deg, intensity 117
77.4 deg, intensity 162

a = 7.7992 Å, b = 7.7992 Å, c = 7.7992 Å
α = 90.04°, β = 90.04°, γ = 90.04°
Fractional coordinates of all 13 atoms:
Pm (0.2455, 0.2455, 0.2455)
Pm (0.2457, 0.2457, 0.7538)
Pm (0.2457, 0.7538, 0.2457)
Pm (0.2462, 0.7543, 0.7543)
Pm (0.7538, 0.2457, 0.2457)
Pm (0.7543, 0.2462, 0.7543)
Pm (0.7543, 0.7543, 0.2462)
Pm (0.7545, 0.7545, 0.7545)
Ho (0.0000, 0.0000, 0.0000)
Ho (0.0000, 0.5000, 0.5000)
Ho (0.5000, 0.0000, 0.5000)
Ho (0.5000, 0.5000, 0.0000)
Mg (0.5000, 0.5000, 0.5000)


2.
Simulated PXRD pattern of PmHoMg6 for CuKα, from the PBE geometry in Alexandria.

Most intense lines, 2θ = 15–90°, in order of rising 2θ:
15.2 deg, intensity 371
22.9 deg, intensity 945
26.5 deg, intensity 433
30.7 deg, intensity 244
34.5 deg, intensity 238
35.3 deg, intensity 1000
44.0 deg, intensity 225
44.7 deg, intensity 310
46.8 deg, intensity 244
54.6 deg, intensity 256

a = 5.2018 Å, b = 6.7281 Å, c = 11.6359 Å
α = 90.00°, β = 90.00°, γ = 90.00°
Fractional coordinates of all 16 atoms:
Pm (0.0000, 0.0000, 0.0000)
Pm (0.0000, 0.5000, 0.5000)
Ho (0.5000, 0.0000, 0.3325)
Ho (0.5000, 0.5000, 0.8325)
Mg (0.0000, 0.0000, 0.5019)
Mg (0.0000, 0.2459, 0.7486)
Mg (0.0000, 0.2541, 0.2486)
Mg (0.0000, 0.5000, 0.0019)
Mg (0.0000, 0.7459, 0.2486)
Mg (0.0000, 0.7541, 0.7486)
Mg (0.5000, 0.0000, 0.8283)
Mg (0.5000, 0.2424, 0.5850)
Mg (0.5000, 0.2576, 0.0850)
Mg (0.5000, 0.5000, 0.3283)
Mg (0.5000, 0.7424, 0.0850)
Mg (0.5000, 0.7576, 0.5850)


3.
Simulated PXRD pattern of Pm4HoMg5 for CuKα, from the PBE geometry in Alexandria.

Most intense lines, 2θ = 15–90°, in order of rising 2θ:
23.1 deg, intensity 204
23.2 deg, intensity 405
32.9 deg, intensity 1000
40.6 deg, intensity 188
47.3 deg, intensity 121
53.1 deg, intensity 86
53.3 deg, intensity 172
58.7 deg, intensity 124
58.9 deg, intensity 250
78.8 deg, intensity 106

a = 3.8408 Å, b = 3.8408 Å, c = 19.2916 Å
α = 90.00°, β = 90.00°, γ = 90.00°
Fractional coordinates of all 10 atoms:
Pm (0.0000, 0.0000, 0.1013)
Pm (0.0000, 0.0000, 0.3034)
Pm (0.0000, 0.0000, 0.6966)
Pm (0.0000, 0.0000, 0.8987)
Ho (0.0000, 0.0000, 0.5000)
Mg (0.5000, 0.5000, 0.0000)
Mg (0.5000, 0.5000, 0.2023)
Mg (0.5000, 0.5000, 0.4047)
Mg (0.5000, 0.5000, 0.5953)
Mg (0.5000, 0.5000, 0.7977)


4.
Simulated PXRD pattern of Pm4HoMg2 for CuKα, from the PBE geometry in Alexandria.

Most intense lines, 2θ = 15–90°, in order of rising 2θ:
24.7 deg, intensity 379
31.9 deg, intensity 1000
32.5 deg, intensity 881
33.5 deg, intensity 274
46.2 deg, intensity 331
56.9 deg, intensity 193
57.2 deg, intensity 350
58.3 deg, intensity 129
66.7 deg, intensity 119
76.2 deg, intensity 150

a = 9.4983 Å, b = 9.4983 Å, c = 9.4983 Å
α = 34.35°, β = 34.35°, γ = 34.35°
Fractional coordinates of all 7 atoms:
Pm (0.1305, 0.1305, 0.1305)
Pm (0.2573, 0.2573, 0.2573)
Pm (0.7427, 0.7427, 0.7427)
Pm (0.8695, 0.8695, 0.8695)
Ho (0.5000, 0.5000, 0.5000)
Mg (0.3788, 0.3788, 0.3788)
Mg (0.6212, 0.6212, 0.6212)